Simulated powder XRD pattern of GdTh2 for Cu Kα, from a crystal structure in OQMD, relaxed with GGA-PBE.
Intensities are scaled so that the largest is 100.

The 6 most intense peaks (2θ from 15° to 90°), by angle:
index	Position (°2θ)	intensity
2 2 2	24.65	100
3 3 1	31.16	93
4 4 0	40.80	74
5 3 1	42.76	80
6 2 2	48.25	51
7 1 1	52.22	45

Structure:
a b c (Å): 12.5106 12.5106 12.5106
angles (deg): 90.00 90.00 90.00
Space group Fd-3m (No. 227, origin choice 2)
One atom of each set of equivalent atoms:
1 Gd 0.1250 0.1250 0.1250 [8 per cell]
2 Th 0.0000 0.0000 0.0000 [16 per cell]